Computed PXRD pattern
Compound: PrGe2
Radiation: Cu Kα X-rays
Structure: the PBE geometry in OQMD

The 10 most intense peaks (2θ from 10° to 90°), by angle:
| 2θ (°) | I/Imax | h k l |
| --- | --- | --- |
| 22.4 | 105 | 1 1 0 |
| 30.2 | 270 | 0 4 1 |
| 32.4 | 126 | 0 6 0 |
| 34.6 | 1000 | 1 3 1 |
| 34.9 | 106 | 1 5 0 |
| 42.9 | 176 | 0 0 2 |
| 44.2 | 158 | 1 7 0 |
| 44.3 | 159 | 2 0 0 |
| 63.3 | 216 | 2 0 2 |
| 73.2 | 113 | 1 3 3 |

Atomic structure:
a = 4.0865 Å, b = 16.5633 Å, c = 4.2201 Å
α = 90.00°, β = 90.00°, γ = 90.00°
Space group Cmmm (No. 65)
Inequivalent atoms, fractional coordinates:
Pr 0.0000 0.1397 0.0000 (multiplicity 4)
Ge 0.0000 0.0000 0.5000 (multiplicity 2)
Ge 0.0000 0.2981 0.5000 (multiplicity 4)
Ge 0.0000 0.5000 0.0000 (multiplicity 2)